This entry pairs a crystal structure of Fe2Ni2Pd7 with its simulated X-ray diffraction stick pattern. Radiation: Cu Kα X-rays. Structure: DFT lattice parameters and positions (GGA-PBE).
Peak positions follow from Bragg's law for the DFT cell and can differ from measured ones.

Crystal structure
```
data_Fe2Ni2Pd7
_space_group_name_H-M_alt 'I m m 2'
_space_group_IT_number 44
_cell_length_a 4.139
_cell_length_b 11.190
_cell_length_c 6.918
_cell_angle_alpha 90.00
_cell_angle_beta 90.00
_cell_angle_gamma 90.00
loop_
_space_group_symop_operation_xyz
'x,y,z'
'-x,-y,z'
'-x,y,z'
'x,-y,z'
'x+1/2,y+1/2,z+1/2'
'-x+1/2,-y+1/2,z+1/2'
'-x+1/2,y+1/2,z+1/2'
'x+1/2,-y+1/2,z+1/2'
loop_
_atom_site_label
_atom_site_fract_x
_atom_site_fract_y
_atom_site_fract_z
Fe1 0.000 0.197 0.000
Ni1 0.000 0.000 0.809
Ni2 0.000 0.500 0.001
Pd1 0.000 0.000 0.182
Pd2 0.000 0.141 0.507
Pd3 0.000 0.344 0.721
Pd4 0.000 0.353 0.289
```

Peak list (10 most intense, 10 to 90 degrees two-theta, in order of rising 2θ)
2θ/deg, I/Imax, hkl
34.74, 12, 1 1 2
39.92, 18, 0 1 3
41.07, 28, 1 4 1
41.77, 100, 1 3 2
43.74, 31, 2 0 0
48.83, 13, 0 6 0
60.69, 10, 2 1 3
67.62, 9, 2 6 0
79.00, 14, 3 3 2
80.92, 10, 1 4 5